Theoretical powder diffraction line list of CdH8C2NCl3 for Cu Ka, from DFT lattice parameters and positions (PBE).
Peak positions follow from Bragg's law for the DFT cell and can differ from measured ones.

Cell and atoms:
```
CdH8C2NCl3
1.0
8.895 0.000 0.000
0.000 13.504 0.000
-1.061 0.000 6.738
Cd H C N Cl
4 32 8 4 12
Direct
0.201 0.243 0.017 Cd
0.201 0.257 0.517 Cd
0.799 0.743 0.483 Cd
0.799 0.757 0.983 Cd
0.120 0.540 0.434 H
0.120 0.960 0.934 H
0.127 0.579 0.089 H
0.127 0.921 0.589 H
0.193 0.662 0.403 H
0.193 0.838 0.903 H
0.238 0.018 0.668 H
0.238 0.482 0.168 H
0.321 0.561 0.483 H
0.321 0.939 0.983 H
0.345 0.688 0.122 H
0.345 0.812 0.622 H
0.356 0.588 0.952 H
0.356 0.912 0.452 H
0.463 0.583 0.198 H
0.463 0.917 0.698 H
0.537 0.083 0.302 H
0.537 0.417 0.802 H
0.644 0.088 0.548 H
0.644 0.412 0.048 H
0.655 0.188 0.378 H
0.655 0.312 0.878 H
0.679 0.061 0.017 H
0.679 0.439 0.517 H
0.762 0.518 0.832 H
0.762 0.982 0.332 H
0.807 0.162 0.097 H
0.807 0.338 0.597 H
0.873 0.079 0.411 H
0.873 0.421 0.911 H
0.880 0.040 0.066 H
0.880 0.460 0.566 H
0.214 0.582 0.391 C
0.214 0.918 0.891 C
0.357 0.608 0.108 C
0.357 0.892 0.608 C
0.643 0.108 0.392 C
0.643 0.392 0.892 C
0.786 0.082 0.109 C
0.786 0.418 0.609 C
0.226 0.559 0.180 N
0.226 0.941 0.680 N
0.774 0.059 0.320 N
0.774 0.441 0.820 N
0.006 0.669 0.791 Cl
0.006 0.831 0.291 Cl
0.198 0.101 0.279 Cl
0.198 0.399 0.779 Cl
0.395 0.162 0.805 Cl
0.395 0.338 0.305 Cl
0.605 0.662 0.695 Cl
0.605 0.838 0.195 Cl
0.802 0.601 0.221 Cl
0.802 0.899 0.721 Cl
0.994 0.169 0.709 Cl
0.994 0.331 0.209 Cl
```

Top 10 peaks for 2θ from 5° to 70°, by angle:
d = 8.787 Å, 10.1°, I 12; d = 7.365 Å, 12.0°, I 100; d = 6.752 Å, 13.1°, I 33; d = 4.394 Å, 20.2°, I 12; d = 4.006 Å, 22.2°, I 20; d = 3.016 Å, 29.6°, I 15; d = 2.675 Å, 33.5°, I 14; d = 2.493 Å, 36.0°, I 12; d = 2.384 Å, 37.7°, I 12; d = 2.004 Å, 45.2°, I 12

***

Theoretical powder diffraction line list of CdH12C2N2Cl4 for Cu Ka, from DFT lattice parameters and positions (PBE).
Peak positions follow from Bragg's law for the DFT cell and can differ from measured ones.

Cell and atoms:
```
CdH12C2N2Cl4
1.0
3.776 -9.877 0.000
3.776 9.877 0.000
0.000 0.000 7.537
Cd H C N Cl
2 24 4 4 8
Direct
0.000 0.000 0.000 Cd
0.500 0.500 0.500 Cd
0.021 0.199 0.529 H
0.092 0.671 0.517 H
0.110 0.890 0.660 H
0.171 0.592 0.017 H
0.187 0.813 0.319 H
0.199 0.021 0.471 H
0.301 0.479 0.971 H
0.313 0.687 0.819 H
0.329 0.908 0.517 H
0.390 0.610 0.160 H
0.408 0.829 0.017 H
0.479 0.301 0.029 H
0.521 0.699 0.971 H
0.592 0.171 0.983 H
0.610 0.390 0.840 H
0.671 0.092 0.483 H
0.687 0.313 0.181 H
0.699 0.521 0.029 H
0.801 0.979 0.529 H
0.813 0.187 0.681 H
0.829 0.408 0.983 H
0.890 0.110 0.340 H
0.908 0.329 0.483 H
0.979 0.801 0.471 H
0.186 0.814 0.464 C
0.314 0.686 0.964 C
0.686 0.314 0.036 C
0.814 0.186 0.536 C
0.114 0.886 0.520 N
0.386 0.614 0.020 N
0.614 0.386 0.980 N
0.886 0.114 0.480 N
0.129 0.871 0.942 Cl
0.231 0.269 0.750 Cl
0.269 0.231 0.250 Cl
0.371 0.629 0.442 Cl
0.629 0.371 0.558 Cl
0.731 0.769 0.750 Cl
0.769 0.731 0.250 Cl
0.871 0.129 0.058 Cl
```

Top 10 peaks for 2θ from 5° to 70°, by angle:
d = 9.877 Å, 9.0°, I 100; d = 5.150 Å, 17.2°, I 51; d = 4.145 Å, 21.4°, I 24; d = 3.773 Å, 23.6°, I 23; d = 2.667 Å, 33.6°, I 27; d = 2.575 Å, 34.8°, I 18; d = 2.494 Å, 36.0°, I 17; d = 2.369 Å, 38.0°, I 14; d = 2.073 Å, 43.7°, I 9; d = 1.822 Å, 50.1°, I 10